(1)
# Er2Mg3Pt4
Calculated powder diffractogram, CuKα. Input: a cell relaxed with GGA-PBE.
Lines closer than 0.1° are merged.

Atomic structure:
```
Er2Mg3Pt4
1.0
7.280 0.000 0.000
0.000 7.259 0.000
-2.447 0.000 6.654
Er Mg Pt
4 6 8
Cartesian
1.250 1.265 0.363
0.026 2.364 3.690
4.806 4.895 2.964
3.583 5.994 6.291
1.250 4.867 1.635
0.026 6.021 4.962
2.416 0.000 3.327
3.640 3.630 0.000
4.807 1.238 1.692
3.583 2.392 5.019
-1.521 3.897 5.605
-0.298 6.992 2.278
1.421 0.994 5.740
2.644 2.635 2.413
2.188 4.624 4.241
3.412 6.265 0.914
5.130 0.268 4.376
6.354 3.362 1.049
```

The 10 most intense peaks (5° ≤ 2θ ≤ 70°), most intense first:
- 2θ = 36.06°, I = 100
- 2θ = 35.20°, I = 83
- 2θ = 24.89°, I = 72
- 2θ = 40.14°, I = 71
- 2θ = 32.82°, I = 67
- 2θ = 35.62°, I = 66
- 2θ = 39.63°, I = 64
- 2θ = 39.47°, I = 52
- 2θ = 32.92°, I = 52
- 2θ = 17.83°, I = 44

***

(2)
# Er2MgPt
Calculated powder diffractogram, CuKα. Input: a cell relaxed with GGA-PBE.
Lines closer than 0.1° are merged.

Atomic structure:
```
Er2MgPt
1.0
3.587 0.000 0.000
0.000 3.587 0.000
0.000 0.000 7.317
Er Mg Pt
2 1 1
Cartesian
0.000 0.000 1.600
0.000 0.000 5.716
1.794 1.794 3.658
1.794 1.794 0.000
```

The 10 most intense peaks (5° ≤ 2θ ≤ 70°), most intense first:
- 2θ = 35.03°, I = 100
- 2θ = 12.10°, I = 59
- 2θ = 35.39°, I = 53
- 2θ = 63.30°, I = 36
- 2θ = 44.94°, I = 23
- 2θ = 50.91°, I = 19
- 2θ = 37.53°, I = 16
- 2θ = 62.61°, I = 14
- 2θ = 49.85°, I = 7
- 2θ = 27.70°, I = 7

***

(3)
# ErMgSnPt
Calculated powder diffractogram, CuKα. Input: a cell relaxed with GGA-PBE.
Lines closer than 0.1° are merged.

Atomic structure:
```
ErMgSnPt
1.0
0.000 3.479 3.479
3.479 0.000 3.479
3.479 3.479 0.000
Er Mg Sn Pt
1 1 1 1
Cartesian
0.000 0.000 0.000
3.479 3.479 3.479
1.740 1.740 1.740
5.219 5.219 5.219
```

The 9 most intense peaks (5° ≤ 2θ ≤ 70°), most intense first:
- 2θ = 36.53°, I = 100
- 2θ = 65.75°, I = 37
- 2θ = 22.13°, I = 23
- 2θ = 52.61°, I = 18
- 2θ = 43.12°, I = 12
- 2θ = 25.60°, I = 7
- 2θ = 57.76°, I = 5
- 2θ = 59.40°, I = 3
- 2θ = 45.14°, I = 2

***

(4)
# Er4MgRh3
Calculated powder diffractogram, CuKα. Input: a cell relaxed with GGA-PBE.
Lines closer than 0.1° are merged.

Atomic structure:
```
Er4MgRh3
1.0
-5.410 5.410 2.893
5.410 -5.410 2.893
5.410 5.410 -2.893
Er Mg Rh
8 2 6
Cartesian
8.469 0.854 0.000
0.854 2.352 0.000
6.264 3.059 0.000
3.059 4.556 0.000
2.352 0.854 2.893
-0.854 2.352 2.893
4.556 3.059 2.893
-3.059 4.556 2.893
5.410 0.000 1.447
0.000 5.410 1.447
3.641 1.769 0.000
0.000 0.000 1.447
3.641 -1.769 2.893
1.769 7.179 0.000
0.000 0.000 4.340
1.769 3.641 2.893
```

The 10 most intense peaks (5° ≤ 2θ ≤ 70°), most intense first:
- 2θ = 37.64°, I = 100
- 2θ = 33.64°, I = 58
- 2θ = 30.91°, I = 37
- 2θ = 59.48°, I = 37
- 2θ = 37.16°, I = 31
- 2θ = 11.57°, I = 27
- 2θ = 35.18°, I = 26
- 2θ = 39.03°, I = 25
- 2θ = 69.49°, I = 23
- 2θ = 56.74°, I = 15